Structure and calculated powder diffraction line list of PrSmNCl (a crystal structure in OQMD, relaxed with GGA-PBE; Cu Kα (weighted mean of Kα1 and Kα2)).
Lines closer than 0.1° are merged.

Cell and atoms:
Lattice parameters (Å, degrees): 3.6635 3.6635 14.0648 90.00 90.00 120.00
Positions (direct):
Pr 0.0000 0.0000 0.1575
Pr 0.0000 0.0000 0.8425
Sm 0.6667 0.3333 0.3463
Sm 0.6667 0.3333 0.6537
N 0.3333 0.6667 0.2622
N 0.3333 0.6667 0.7378
Cl 0.0000 0.0000 0.5000
Cl 0.6667 0.3333 0.0000

The 12 most intense peaks (15 to 90 degrees two-theta), by angle:
- (0 0 4), 2θ 25.33, I = 12
- (1 0 0), 2θ 28.13, I = 24
- (1 0 1), 2θ 28.85, I = 24
- (1 0 3), 2θ 34.12, I = 100
- (0 0 6), 2θ 38.40, I = 13
- (1 0 6), 2θ 48.27, I = 12
- (1 1 0), 2θ 49.78, I = 25
- (1 0 7), 2θ 54.02, I = 12
- (2 0 3), 2θ 61.73, I = 18
- (1 1 6), 2θ 64.57, I = 17
- (1 0 9), 2θ 66.72, I = 10
- (2 1 3), 2θ 83.15, I = 15